The following is a theoretical powder diffraction line list of Sb2MoRhF. It was derived from a structure optimized by DFT (PBE+U), using Cu Kα, 1.54184 Å.

Main lines, in order of falling intensity (2θ = 5–70°):
33.23 deg, intensity 100
32.50 deg, intensity 71
27.84 deg, intensity 50
57.53 deg, intensity 40
47.70 deg, intensity 35
22.32 deg, intensity 29

Cell and atoms:
abc: 5.393 5.393 3.983
angles: 90.00 90.00 90.00
Space group P4/mmm (No. 123)
One atom of each set of equivalent atoms:
Sb: 0.000 0.500 0.000 [2 per cell]
Mo: 0.000 0.000 0.000 [1 per cell]
Rh: 0.500 0.500 0.500 [1 per cell]
F: 0.000 0.000 0.500 [1 per cell]